Computed powder X-ray diffraction pattern
Compound: LiIn3
Radiation: Cu Ka
Structure: the PBE geometry in the Materials Project

Principal peaks in the range 10° ≤ 2θ ≤ 80°, by angle:
two_theta  d (Å)  Rel. int.  hkl
19.33  4.593  298  1 0 0
27.47  3.247  255  1 1 0
33.81  2.651  1000  1 1 1
39.23  2.296  496  2 0 0
44.09  2.054  139  2 1 0
48.56  1.875  104  2 1 1
56.69  1.624  327  2 2 0
60.48  1.531  66  3 0 0
67.66  1.385  378  3 1 1
71.11  1.326  109  2 2 2

Structural model:
abc: 4.593 4.593 4.593
angles: 90.00 90.00 90.00
Space group Pm-3m (No. 221)
Symmetry-distinct sites (fractional):
Li 0.000 0.000 0.000 (multiplicity 1)
In 0.000 0.500 0.500 (multiplicity 3)


Computed powder X-ray diffraction pattern
Compound: Li3In
Radiation: Cu Ka
Structure: the PBE geometry in the Materials Project

Principal peaks in the range 10° ≤ 2θ ≤ 80°, by angle:
two_theta  d (Å)  Rel. int.  hkl
23.16  3.840  1000  1 1 1
26.81  3.326  523  2 0 0
38.28  2.351  567  2 2 0
45.22  2.005  498  3 1 1
47.35  1.920  145  2 2 2
55.24  1.663  95  4 0 0
60.69  1.526  201  3 3 1
62.45  1.487  184  4 2 0
69.20  1.358  189  4 2 2
74.07  1.280  147  5 1 1

Structural model:
abc: 6.651 6.651 6.651
angles: 90.00 90.00 90.00
Space group Fm-3m (No. 225)
Symmetry-distinct sites (fractional):
Li 0.000 0.000 0.000 (multiplicity 4)
Li 0.250 0.250 0.250 (multiplicity 8)
In 0.000 0.000 0.500 (multiplicity 4)